No. 1
The following is a calculated powder diffractogram of MgMn6Nb4O18. It was derived from DFT lattice parameters and positions (PBE+U), using Cu Kα, 1.54184 Å.

Atomic structure:
a b c (Å): 5.305 5.325 14.523
angles (deg): 90.04 90.28 119.86
Fractional positions:
Mg: 0.000 0.000 0.000
Mn: 0.001 0.001 0.211
Mn: 0.661 0.333 0.375
Mn: 0.664 0.332 0.674
Mn: 0.665 0.331 0.887
Mn: 0.668 0.333 0.166
Mn: 0.998 0.999 0.696
Nb: 0.330 0.665 0.551
Nb: 0.332 0.665 0.046
Nb: 0.332 0.666 0.833
Nb: 0.332 0.668 0.339
O: 0.020 0.424 0.435
O: 0.025 0.320 0.104
O: 0.025 0.679 0.612
O: 0.052 0.678 0.942
O: 0.297 0.975 0.104
O: 0.317 0.344 0.612
O: 0.320 0.375 0.942
O: 0.353 0.005 0.778
O: 0.375 0.348 0.280
O: 0.397 0.966 0.437
O: 0.575 0.596 0.436
O: 0.623 0.944 0.942
O: 0.648 0.642 0.778
O: 0.651 0.023 0.280
O: 0.651 0.971 0.613
O: 0.678 0.703 0.105
O: 0.985 0.630 0.275
O: 0.992 0.349 0.778

Main lines, by angle (10 to 90 degrees two-theta):
d_spacing	two_theta	I_rel
4.606	19.3	74
3.896	22.8	41
2.858	31.3	63
2.847	31.4	100
2.663	33.7	76
2.652	33.8	37
1.951	46.5	22
1.945	46.7	21
1.791	51.0	35
1.785	51.2	24
1.570	58.8	35
1.533	60.4	31

=====

No. 2
The following is a calculated powder diffractogram of KCeEuWO6. It was derived from DFT lattice parameters and positions (PBE+U), using Cu Kα, 1.54184 Å.

Atomic structure:
a b c (Å): 8.434 8.481 8.526
angles (deg): 90.00 90.00 90.00
Fractional positions:
K: 0.250 0.250 0.250
K: 0.250 0.750 0.250
K: 0.750 0.250 0.750
K: 0.750 0.750 0.750
Ce: 0.000 0.000 0.000
Ce: 0.000 0.500 0.500
Ce: 0.500 0.000 0.500
Ce: 0.500 0.500 0.000
Eu: 0.250 0.250 0.750
Eu: 0.250 0.750 0.750
Eu: 0.750 0.250 0.250
Eu: 0.750 0.750 0.250
W: 0.000 0.000 0.500
W: 0.000 0.500 0.000
W: 0.500 0.000 0.000
W: 0.500 0.500 0.500
O: 0.024 0.237 0.471
O: 0.024 0.263 0.029
O: 0.044 0.028 0.735
O: 0.044 0.472 0.765
O: 0.228 0.533 0.020
O: 0.228 0.967 0.480
O: 0.272 0.533 0.480
O: 0.272 0.967 0.020
O: 0.456 0.028 0.765
O: 0.456 0.472 0.735
O: 0.476 0.237 0.029
O: 0.476 0.263 0.471
O: 0.524 0.737 0.529
O: 0.524 0.763 0.971
O: 0.544 0.528 0.265
O: 0.544 0.972 0.235
O: 0.728 0.033 0.980
O: 0.728 0.467 0.520
O: 0.772 0.033 0.520
O: 0.772 0.467 0.980
O: 0.956 0.528 0.235
O: 0.956 0.972 0.265
O: 0.976 0.737 0.971
O: 0.976 0.763 0.529

Main lines, by angle (10 to 90 degrees two-theta):
d_spacing	two_theta	I_rel
5.996	14.8	14
3.002	29.8	100
2.990	29.9	49
2.131	42.4	14
2.120	42.6	14
2.109	42.9	13
1.736	52.7	21
1.731	52.9	21
1.726	53.0	21
1.347	69.8	9
1.135	85.6	11
1.132	85.9	11

=====

No. 3
The following is a calculated powder diffractogram of CaLaFeCuO6. It was derived from DFT lattice parameters and positions (PBE+U), using Cu Kα, 1.54184 Å.

Atomic structure:
a b c (Å): 5.525 5.531 9.361
angles (deg): 90.00 125.56 90.00
Fractional positions:
Ca: 0.000 0.207 0.000
Ca: 0.000 0.793 0.500
La: 0.484 0.281 0.499
La: 0.484 0.719 0.999
Fe: 0.240 0.250 0.750
Fe: 0.240 0.750 0.250
Cu: 0.741 0.251 0.249
Cu: 0.741 0.749 0.749
O: 0.000 0.462 0.792
O: 0.000 0.538 0.292
O: 0.062 0.027 0.286
O: 0.062 0.973 0.786
O: 0.409 0.468 0.208
O: 0.409 0.532 0.708
O: 0.480 0.032 0.712
O: 0.480 0.968 0.212
O: 0.578 0.267 0.005
O: 0.578 0.733 0.505
O: 0.913 0.229 0.494
O: 0.913 0.771 0.994

Main lines, by angle (10 to 90 degrees two-theta):
d_spacing	two_theta	I_rel
4.482	19.8	59
4.449	20.0	20
2.764	32.4	96
2.738	32.7	100
2.717	33.0	96
2.356	38.2	19
1.954	46.5	63
1.904	47.8	31
1.594	57.8	23
1.582	58.3	22
1.568	58.9	20
1.236	77.2	18

=====

No. 4
The following is a calculated powder diffractogram of V2SO8. It was derived from DFT lattice parameters and positions (PBE+U), using Cu Kα, 1.54184 Å.

Atomic structure:
a b c (Å): 5.902 13.056 10.765
angles (deg): 90.00 90.00 90.00
Fractional positions:
V: 0.200 0.088 0.166
V: 0.200 0.412 0.166
V: 0.300 0.588 0.666
V: 0.300 0.912 0.666
V: 0.700 0.088 0.334
V: 0.700 0.412 0.334
V: 0.800 0.588 0.834
V: 0.800 0.912 0.834
S: 0.028 0.250 0.959
S: 0.472 0.750 0.459
S: 0.528 0.250 0.541
S: 0.972 0.750 0.041
O: 0.031 0.623 0.735
O: 0.031 0.877 0.735
O: 0.079 0.250 0.830
O: 0.161 0.156 0.018
O: 0.161 0.344 0.018
O: 0.196 0.532 0.139
O: 0.196 0.968 0.139
O: 0.198 0.750 0.994
O: 0.302 0.250 0.494
O: 0.304 0.032 0.639
O: 0.304 0.468 0.639
O: 0.339 0.656 0.518
O: 0.339 0.844 0.518
O: 0.421 0.750 0.330
O: 0.469 0.123 0.235
O: 0.469 0.377 0.235
O: 0.531 0.623 0.765
O: 0.531 0.877 0.765
O: 0.579 0.250 0.670
O: 0.661 0.156 0.482
O: 0.661 0.344 0.482
O: 0.696 0.532 0.361
O: 0.696 0.968 0.361
O: 0.698 0.750 0.506
O: 0.802 0.250 0.006
O: 0.804 0.032 0.861
O: 0.804 0.468 0.861
O: 0.839 0.656 0.982
O: 0.839 0.844 0.982
O: 0.921 0.750 0.170
O: 0.969 0.123 0.265
O: 0.969 0.377 0.265

Main lines, by angle (10 to 90 degrees two-theta):
d_spacing	two_theta	I_rel
8.306	10.7	75
5.176	17.1	92
4.811	18.4	33
4.153	21.4	47
4.056	21.9	21
4.035	22.0	100
3.977	22.4	83
3.396	26.2	49
3.331	26.8	20
2.777	32.2	13
2.689	33.3	15
2.488	36.1	14

=====

No. 5
The following is a calculated powder diffractogram of Sr2CrWO6. It was derived from DFT lattice parameters and positions (PBE+U), using Cu Kα, 1.54184 Å.

Atomic structure:
a b c (Å): 5.673 5.673 7.973
angles (deg): 90.00 90.00 90.60
Fractional positions:
Sr: 0.000 0.500 0.244
Sr: 0.000 0.500 0.756
Sr: 0.500 0.000 0.244
Sr: 0.500 0.000 0.756
Cr: 0.000 0.000 0.000
Cr: 0.500 0.500 0.500
W: 0.000 0.000 0.500
W: 0.500 0.500 0.000
O: 0.000 0.000 0.249
O: 0.000 0.000 0.751
O: 0.246 0.246 0.500
O: 0.249 0.249 0.000
O: 0.250 0.750 0.000
O: 0.253 0.747 0.500
O: 0.500 0.500 0.246
O: 0.500 0.500 0.754
O: 0.747 0.253 0.500
O: 0.750 0.250 0.000
O: 0.751 0.751 0.000
O: 0.754 0.754 0.500

Main lines, by angle (10 to 90 degrees two-theta):
d_spacing	two_theta	I_rel
4.622	19.2	37
2.836	31.6	100
2.820	31.7	49
2.407	37.4	14
2.016	45.0	17
1.994	45.5	32
1.640	56.1	20
1.631	56.4	39
1.418	65.9	20
1.410	66.3	10
1.262	75.3	13
1.156	83.7	10

=====

No. 6
The following is a calculated powder diffractogram of V3Se2NO12. It was derived from DFT lattice parameters and positions (PBE+U), using Cu Kα, 1.54184 Å.

Atomic structure:
a b c (Å): 7.182 7.182 12.019
angles (deg): 90.00 90.00 120.00
Fractional positions:
V: 0.131 0.796 0.000
V: 0.204 0.335 0.000
V: 0.335 0.131 0.500
V: 0.665 0.869 0.000
V: 0.796 0.665 0.500
V: 0.869 0.204 0.500
Se: 0.000 0.000 0.215
Se: 0.000 0.000 0.715
Se: 0.333 0.667 0.782
Se: 0.667 0.333 0.282
N: 0.333 0.667 0.307
N: 0.667 0.333 0.807
O: 0.086 0.543 0.027
O: 0.118 0.252 0.152
O: 0.120 0.245 0.469
O: 0.125 0.880 0.469
O: 0.134 0.882 0.152
O: 0.200 0.415 0.843
O: 0.215 0.800 0.843
O: 0.245 0.125 0.969
O: 0.252 0.134 0.652
O: 0.415 0.215 0.343
O: 0.457 0.543 0.027
O: 0.457 0.914 0.027
O: 0.543 0.086 0.527
O: 0.543 0.457 0.527
O: 0.585 0.785 0.843
O: 0.748 0.866 0.152
O: 0.755 0.875 0.469
O: 0.785 0.200 0.343
O: 0.800 0.585 0.343
O: 0.866 0.118 0.652
O: 0.875 0.120 0.969
O: 0.880 0.755 0.969
O: 0.882 0.748 0.652
O: 0.914 0.457 0.527

Main lines, by angle (10 to 90 degrees two-theta):
d_spacing	two_theta	I_rel
6.220	14.2	40
5.524	16.0	100
4.322	20.6	23
3.591	24.8	13
3.083	29.0	98
3.008	29.7	57
2.762	32.4	16
2.706	33.1	33
1.960	46.3	24
1.796	50.9	25
1.542	60.0	16
1.324	71.2	12

=====

No. 7
The following is a calculated powder diffractogram of LiVP2O8. It was derived from DFT lattice parameters and positions (PBE+U), using Cu Kα, 1.54184 Å.

Atomic structure:
a b c (Å): 7.241 8.428 8.442
angles (deg): 119.87 90.25 90.39
Fractional positions:
Li: 0.000 0.000 0.000
Li: 0.004 0.329 0.657
Li: 0.994 0.656 0.322
V: 0.424 0.994 0.995
V: 0.497 0.328 0.661
V: 0.570 0.661 0.328
P: 0.267 0.644 0.622
P: 0.268 0.363 0.014
P: 0.268 0.970 0.340
P: 0.726 0.293 0.309
P: 0.726 0.686 0.982
P: 0.727 0.011 0.700
O: 0.088 0.584 0.521
O: 0.092 0.468 0.057
O: 0.092 0.922 0.400
O: 0.257 0.949 0.147
O: 0.258 0.191 0.038
O: 0.263 0.840 0.793
O: 0.335 0.288 0.813
O: 0.335 0.518 0.698
O: 0.336 0.172 0.468
O: 0.427 0.636 0.493
O: 0.432 0.489 0.134
O: 0.432 0.851 0.345
O: 0.562 0.166 0.189
O: 0.562 0.805 0.977
O: 0.567 0.020 0.829
O: 0.657 0.484 0.854
O: 0.658 0.137 0.625
O: 0.658 0.368 0.510
O: 0.731 0.816 0.529
O: 0.736 0.465 0.285
O: 0.737 0.706 0.176
O: 0.901 0.733 0.922
O: 0.902 0.188 0.266
O: 0.906 0.071 0.802

Main lines, by angle (10 to 90 degrees two-theta):
d_spacing	two_theta	I_rel
7.240	12.2	80
4.221	21.0	7
3.654	24.4	100
3.631	24.5	54
3.259	27.4	10
3.246	27.5	6
2.763	32.4	15
2.755	32.5	19
2.736	32.7	13
2.438	36.9	9
2.306	39.1	9
1.825	50.0	6

=====

No. 8
The following is a calculated powder diffractogram of Ba2NdWO6. It was derived from DFT lattice parameters and positions (PBE+U), using Cu Kα, 1.54184 Å.

Atomic structure:
a b c (Å): 6.137 6.137 6.137
angles (deg): 60.00 60.00 60.00
Fractional positions:
Ba: 0.250 0.250 0.250
Ba: 0.750 0.750 0.750
Nd: 0.000 0.000 0.000
W: 0.500 0.500 0.500
O: 0.269 0.269 0.731
O: 0.269 0.731 0.269
O: 0.269 0.731 0.731
O: 0.731 0.269 0.269
O: 0.731 0.269 0.731
O: 0.731 0.731 0.269

Main lines, by angle (10 to 90 degrees two-theta):
d_spacing	two_theta	I_rel
5.011	17.7	2
4.340	20.5	4
3.069	29.1	100
2.170	41.6	28
1.941	46.8	2
1.772	51.6	41
1.534	60.3	18
1.447	64.4	1
1.372	68.4	19
1.253	76.0	6
1.160	83.3	22

=====

No. 9
The following is a calculated powder diffractogram of KCaNdWO6. It was derived from DFT lattice parameters and positions (PBE+U), using Cu Kα, 1.54184 Å.

Atomic structure:
a b c (Å): 8.420 8.432 8.475
angles (deg): 90.00 90.00 90.00
Fractional positions:
K: 0.250 0.250 0.250
K: 0.250 0.750 0.750
K: 0.750 0.250 0.250
K: 0.750 0.750 0.750
Ca: 0.250 0.250 0.750
Ca: 0.250 0.750 0.250
Ca: 0.750 0.250 0.750
Ca: 0.750 0.750 0.250
Nd: 0.000 0.000 0.000
Nd: 0.000 0.500 0.500
Nd: 0.500 0.000 0.500
Nd: 0.500 0.500 0.000
W: 0.000 0.000 0.500
W: 0.000 0.500 0.000
W: 0.500 0.000 0.000
W: 0.500 0.500 0.500
O: 0.032 0.047 0.728
O: 0.032 0.453 0.772
O: 0.033 0.727 0.978
O: 0.033 0.773 0.522
O: 0.227 0.024 0.467
O: 0.227 0.476 0.033
O: 0.273 0.024 0.033
O: 0.273 0.476 0.467
O: 0.467 0.727 0.522
O: 0.467 0.773 0.978
O: 0.468 0.047 0.772
O: 0.468 0.453 0.728
O: 0.532 0.547 0.272
O: 0.532 0.953 0.228
O: 0.533 0.227 0.022
O: 0.533 0.273 0.478
O: 0.727 0.524 0.533
O: 0.727 0.976 0.967
O: 0.773 0.524 0.967
O: 0.773 0.976 0.533
O: 0.967 0.227 0.478
O: 0.967 0.273 0.022
O: 0.968 0.547 0.228
O: 0.968 0.953 0.272

Main lines, by angle (10 to 90 degrees two-theta):
d_spacing	two_theta	I_rel
4.238	21.0	21
4.213	21.1	40
2.985	29.9	100
2.119	42.7	10
2.106	42.9	20
1.893	48.1	9
1.886	48.3	14
1.727	53.0	14
1.722	53.2	29
1.494	62.1	12
1.130	86.0	7
1.126	86.4	8